Record 1
TmTh5Tl4: theoretical XRD peak list (Cu Ka), based on a PBE-relaxed structure.
No peak broadening, texture or thermal motion is included.

Largest 10 diffraction maxima, in order of rising 2θ, 10° ≤ 2θ ≤ 90°:
2θ/deg	I_rel
27.6	24
29.2	19
31.1	39
31.2	30
31.5	100
31.9	26
36.3	59
38.9	28
50.3	19
50.6	18

Structure:
```
data_TmTh5Tl4
_chemical_formula_sum 'Tm2 Th10 Tl8'
_symmetry_space_group_name_H-M 'C 1 2/m 1'
_symmetry_Int_Tables_number 12
_symmetry_space_group_name_Hall '-C 2y'
_cell_length_a 17.3990
_cell_length_b 3.6093
_cell_length_c 10.0012
_cell_angle_alpha 90.00
_cell_angle_beta 97.49
_cell_angle_gamma 90.00
loop_
_atom_site_label
_atom_site_fract_x
_atom_site_fract_y
_atom_site_fract_z
Tm1 0.0000 0.0000 0.0000
Th1 0.0000 0.0000 0.5000
Th2 0.1546 0.5000 0.2285
Th3 0.1855 0.5000 0.6012
Tl1 0.0353 0.5000 0.7709
Tl2 0.1789 0.0000 0.9183
```

=====

Record 2
Th3GeRh: theoretical XRD peak list (Cu Ka), based on a PBE-relaxed structure.
No peak broadening, texture or thermal motion is included.

Largest 10 diffraction maxima, in order of rising 2θ, 10° ≤ 2θ ≤ 90°:
2θ/deg	I_rel
26.6	34
27.6	38
28.0	95
31.8	54
31.9	100
34.7	52
35.5	94
38.9	48
44.5	48
51.0	39

Structure:
```
data_Th3GeRh
_chemical_formula_sum 'Th6 Ge2 Rh2'
_symmetry_space_group_name_H-M 'P 1 21/m 1'
_symmetry_Int_Tables_number 11
_symmetry_space_group_name_Hall '-P 2yb'
_cell_length_a 7.9509
_cell_length_b 4.0731
_cell_length_c 8.5146
_cell_angle_alpha 90.00
_cell_angle_beta 103.31
_cell_angle_gamma 90.00
loop_
_atom_site_label
_atom_site_fract_x
_atom_site_fract_y
_atom_site_fract_z
Th1 0.0836 0.2500 0.2390
Th2 0.3133 0.2500 0.9532
Th3 0.3364 0.7500 0.5915
Ge1 0.3897 0.7500 0.2361
Rh1 0.0802 0.2500 0.6146
```